[1]
Structure and calculated PXRD pattern of NbMo8W3 (a crystal structure in Alexandria, relaxed with GGA-PBE; Cu Kα X-rays).
Peak positions follow from Bragg's law for the DFT cell and can differ from measured ones.

Atomic structure:
Lattice parameters (Å, degrees): 4.4950 9.0175 5.2644 90.00 115.19 90.00
Atoms (fractional coordinates):
Nb 0.0000 0.0000 0.0000
Mo 0.1671 0.2520 0.3347
Mo 0.1671 0.7480 0.3347
Mo 0.3316 0.0000 0.6633
Mo 0.5000 0.2504 0.0000
Mo 0.5000 0.7496 0.0000
Mo 0.6684 0.0000 0.3367
Mo 0.8329 0.2520 0.6653
Mo 0.8329 0.7480 0.6653
W 0.0000 0.5000 0.0000
W 0.3335 0.5000 0.6665
W 0.6665 0.5000 0.3335

Main lines, by angle (2θ = 5–70°):
9.81 deg, I 28
19.69 deg, I 6
40.05 deg, I 100
40.13 deg, I 100
57.94 deg, I 22
58.09 deg, I 11

[2]
Structure and calculated PXRD pattern of Nb5Mo2W4 (a crystal structure in Alexandria, relaxed with GGA-PBE; Cu Kα X-rays).
Peak positions follow from Bragg's law for the DFT cell and can differ from measured ones.

Atomic structure:
Lattice parameters (Å, degrees): 2.7487 7.2702 9.6742 90.50 97.09 100.81
Atoms (fractional coordinates):
Nb 0.0000 0.0000 0.0000
Nb 0.3037 0.2783 0.8156
Nb 0.4482 0.0955 0.2784
Nb 0.5518 0.9045 0.7216
Nb 0.6963 0.7217 0.1844
Mo 0.3253 0.1851 0.5422
Mo 0.6747 0.8149 0.4578
W 0.1057 0.4546 0.3702
W 0.1773 0.6335 0.9113
W 0.8227 0.3665 0.0887
W 0.8943 0.5454 0.6298

Main lines, by angle (2θ = 5–70°):
12.40 deg, I 61
38.04 deg, I 75
38.40 deg, I 100
38.69 deg, I 98
39.23 deg, I 94
40.40 deg, I 45

[3]
Structure and calculated PXRD pattern of Nb3ZnMo (a crystal structure in Alexandria, relaxed with GGA-PBE; Cu Kα X-rays).
Peak positions follow from Bragg's law for the DFT cell and can differ from measured ones.

Atomic structure:
Lattice parameters (Å, degrees): 4.8339 4.8339 4.8339 90.00 90.00 90.00
Atoms (fractional coordinates):
Nb 0.0000 0.0000 0.5000
Nb 0.0000 0.5000 0.0000
Nb 0.5000 0.0000 0.0000
Zn 0.5000 0.5000 0.5000
Mo 0.0000 0.0000 0.0000

Main lines, by angle (2θ = 5–70°):
18.35 deg, I 45
32.07 deg, I 65
37.20 deg, I 100
53.63 deg, I 67
63.87 deg, I 25
67.07 deg, I 22

[4]
Structure and calculated PXRD pattern of Nb6ZnMo (a crystal structure in Alexandria, relaxed with GGA-PBE; Cu Kα X-rays).
Peak positions follow from Bragg's law for the DFT cell and can differ from measured ones.

Atomic structure:
Lattice parameters (Å, degrees): 7.3027 7.3027 7.3027 142.89 142.89 53.50
Atoms (fractional coordinates):
Nb 0.1232 0.6232 0.5000
Nb 0.2491 0.2491 0.0000
Nb 0.3768 0.8768 0.5000
Nb 0.6232 0.1232 0.5000
Nb 0.7509 0.7509 0.0000
Nb 0.8768 0.3768 0.5000
Zn 0.5000 0.5000 0.0000
Mo 0.0000 0.0000 0.0000

Main lines, by angle (2θ = 5–70°):
20.28 deg, I 1
38.74 deg, I 51
38.91 deg, I 100
55.95 deg, I 17
56.44 deg, I 8